# 1
Starting from the GGA-PBE geometry in Alexandria, the powder XRD pattern of Li3U2Se6 was calculated for a wavelength of 1.5418 Å.

Main lines, sorted by position (5 to 70 degrees two-theta):
d [Å], I (rel.), (hkl)
6.320, 70, 0 0 1
6.137, 24, 0 2 0
5.830, 41, 1 1 0
5.167, 29, 1 1 -1
3.484, 54, 1 3 0
2.848, 50, 2 0 -2
2.833, 100, 1 3 1
2.046, 57, 0 6 0
1.973, 38, 1 3 -3
1.661, 24, 2 6 -2

```
data_Li3U2Se6
_chemical_formula_sum 'Li6 U4 Se12'
_cell_length_a 7.0900
_cell_length_b 12.2737
_cell_length_c 6.7623
_cell_angle_alpha 90.00
_cell_angle_beta 110.85
_cell_angle_gamma 90.00
_space_group_name_H-M_alt 'C 1 2/m 1'
_space_group_IT_number 12
_space_group_name_Hall '-C 2y'
loop_
_atom_site_label
_atom_site_fract_x
_atom_site_fract_y
_atom_site_fract_z
Li1 0.0000 0.0000 0.0000
Li2 0.0000 0.3353 0.0000
U1 0.0000 0.1663 0.5000
Se1 0.2315 0.0000 0.7568
Se2 0.2405 0.1764 0.2527
```



# 2
Starting from the GGA-PBE geometry in Alexandria, the powder XRD pattern of LiU3Se4 was calculated for a wavelength of 1.5418 Å.

Main lines, sorted by position (5 to 70 degrees two-theta):
d [Å], I (rel.), (hkl)
11.358, 49, 0 0 1
3.816, 18, 1 0 1
3.298, 37, 1 0 2
2.865, 100, 1 1 0
2.839, 48, 0 0 4
2.026, 38, 2 0 0
2.017, 73, 1 1 4
1.726, 13, 2 1 2
1.649, 39, 2 0 4
1.432, 13, 2 2 0

```
data_LiU3Se4
_chemical_formula_sum 'Li1 U3 Se4'
_cell_length_a 4.0517
_cell_length_b 4.0517
_cell_length_c 11.3575
_cell_angle_alpha 90.00
_cell_angle_beta 90.00
_cell_angle_gamma 90.00
_space_group_name_H-M_alt 'P 4/m m m'
_space_group_IT_number 123
_space_group_name_Hall '-P 4 2'
loop_
_atom_site_label
_atom_site_fract_x
_atom_site_fract_y
_atom_site_fract_z
Li1 0.0000 0.0000 0.0000
U1 0.0000 0.0000 0.5000
U2 0.5000 0.5000 0.2496
Se1 0.0000 0.0000 0.2408
Se2 0.5000 0.5000 0.0000
Se3 0.5000 0.5000 0.5000
```



# 3
Starting from the GGA-PBE geometry in Alexandria, the powder XRD pattern of Li3U2Se4 was calculated for a wavelength of 1.5418 Å.

Main lines, sorted by position (5 to 70 degrees two-theta):
d [Å], I (rel.), (hkl)
9.103, 100, 0 0 1
6.827, 73, 1 0 -1
4.580, 23, 1 0 -2
3.228, 14, 1 1 -1
2.859, 23, 1 1 -2
2.565, 11, 2 1 0
2.497, 18, 2 1 -2
2.483, 21, 1 1 2
2.407, 17, 1 1 -3
2.331, 21, 2 1 1

```
data_Li3U2Se4
_chemical_formula_sum 'Li3 U2 Se4'
_cell_length_a 7.6019
_cell_length_b 3.6631
_cell_length_c 9.6309
_cell_angle_alpha 90.00
_cell_angle_beta 109.06
_cell_angle_gamma 90.00
_space_group_name_H-M_alt 'P 1 2/m 1'
_space_group_IT_number 10
_space_group_name_Hall '-P 2y'
loop_
_atom_site_label
_atom_site_fract_x
_atom_site_fract_y
_atom_site_fract_z
Li1 0.0000 0.0000 0.0000
Li2 0.1666 0.0000 0.7142
U1 0.3236 0.0000 0.3902
Se1 0.0422 0.5000 0.2108
Se2 0.3805 0.5000 0.6455
```



# 4
Starting from the GGA-PBE geometry in Alexandria, the powder XRD pattern of LiU6Se8 was calculated for a wavelength of 1.5418 Å.

Main lines, sorted by position (5 to 70 degrees two-theta):
d [Å], I (rel.), (hkl)
5.737, 26, 2 0 0
4.057, 24, 2 2 0
3.312, 25, 2 2 2
2.868, 100, 4 0 0
2.566, 15, 4 2 0
2.342, 12, 4 2 2
2.028, 75, 4 4 0
1.730, 13, 6 2 2
1.656, 27, 4 4 4
1.434, 13, 8 0 0

```
data_LiU6Se8
_chemical_formula_sum 'Li4 U24 Se32'
_cell_length_a 11.4736
_cell_length_b 11.4736
_cell_length_c 11.4736
_cell_angle_alpha 90.00
_cell_angle_beta 90.00
_cell_angle_gamma 90.00
_space_group_name_H-M_alt 'F m -3 m'
_space_group_IT_number 225
_space_group_name_Hall '-F 4 2 3'
loop_
_atom_site_label
_atom_site_fract_x
_atom_site_fract_y
_atom_site_fract_z
Li1 0.0000 0.0000 0.0000
U1 0.0000 0.2500 0.2500
Se1 0.0000 0.0000 0.2480
Se2 0.2500 0.2500 0.2500
```